Computed PXRD pattern of MoSO2 for λ = 1.5418 Å (Cu Kα), from the PBE+U geometry in Alexandria.
Neutral-atom scattering factors, no anomalous dispersion.

Cell and atoms:
```
MoSO2
1.0
6.0719 0.0000 0.0000
0.0000 6.0719 0.0000
0.0000 0.0000 8.6076
Mo S O
4 4 8
Direct
0.0000 0.2500 0.3750
0.0000 0.7500 0.6250
0.5000 0.2500 0.1250
0.5000 0.7500 0.8750
0.0000 0.2500 0.8750
0.0000 0.7500 0.1250
0.5000 0.2500 0.6250
0.5000 0.7500 0.3750
0.0000 0.0000 0.5000
0.0000 0.5000 0.5000
0.2500 0.2500 0.2500
0.2500 0.7500 0.7500
0.5000 0.0000 0.0000
0.5000 0.5000 0.0000
0.7500 0.2500 0.2500
0.7500 0.7500 0.7500
```

Largest 6 diffraction maxima, by angle, 2θ = 10–90°:
hkl, Position (°2θ), Rel. int.
1 0 1, 17.88, 51
2 0 0, 29.40, 100
3 0 1, 46.04, 12
3 1 2, 52.14, 37
4 0 0, 60.99, 16
4 2 4, 84.30, 12